Starting from a structure optimized by DFT (GGA+U), the X-ray powder pattern of VPbO4 was calculated for Cu Kα, 1.54184 Å.
Neutral-atom scattering factors, no anomalous dispersion.

Structural model:
a b c (Å): 5.7329 5.0255 5.5932
angles (deg): 90.00 109.11 90.00
Space group P2_1/c (No. 14)
Inequivalent atoms, fractional coordinates:
V: 0.0000 0.0000 0.0000 (multiplicity 2)
Pb: 0.5000 0.0000 0.5000 (multiplicity 2)
O: 0.1060 0.2061 0.3046 (multiplicity 4)
O: 0.3158 0.6356 0.5955 (multiplicity 4)

Peak list (12 most intense, 2θ from 15° to 90°, by intensity)
hkl 1 1 -1, 2θ 26.23, intensity 100
hkl 1 1 1, 2θ 32.58, intensity 43
hkl 1 0 0, 2θ 16.36, intensity 39
hkl 0 1 1, 2θ 24.44, intensity 31
hkl 2 0 0, 2θ 33.07, intensity 23
hkl 0 0 2, 2θ 33.93, intensity 22
hkl 3 1 -1, 2θ 51.13, intensity 21
hkl 0 2 2, 2θ 50.10, intensity 19
hkl 2 1 -1, 2θ 36.61, intensity 17
hkl 1 1 -3, 2θ 52.34, intensity 17
hkl 2 2 0, 2θ 49.48, intensity 16
hkl 0 2 0, 2θ 35.73, intensity 16